Structure and theoretical powder diffraction line list of KVH2SeO7 (a GGA+U-relaxed structure; copper Kα).

Atomic structure:
```
KVH2SeO7
1.0
7.4769 0.0000 0.0000
0.0000 10.8529 0.0000
-6.9001 0.0000 7.7750
K V H Se O
4 4 8 4 28
direct
0.1654 0.0687 0.2429
0.1654 0.4313 0.7429
0.8346 0.5687 0.2571
0.8346 0.9313 0.7571
0.4202 0.0887 0.7522
0.4202 0.4113 0.2522
0.5798 0.5887 0.7478
0.5798 0.9113 0.2478
0.0468 0.6678 0.8763
0.0468 0.8322 0.3763
0.0574 0.6184 0.0260
0.0574 0.8816 0.5260
0.9426 0.1184 0.4740
0.9426 0.3816 0.9740
0.9532 0.1678 0.6237
0.9532 0.3322 0.1237
0.3988 0.6974 0.3611
0.3988 0.8026 0.8611
0.6012 0.1974 0.1389
0.6012 0.3026 0.6389
0.0492 0.1544 0.5902
0.0492 0.3456 0.0902
0.1856 0.7057 0.8008
0.1856 0.7943 0.3008
0.2576 0.5602 0.2635
0.2576 0.9398 0.7635
0.3003 0.5481 0.5818
0.3003 0.9519 0.0818
0.3713 0.0392 0.5804
0.3713 0.4608 0.0804
0.3818 0.1845 0.9262
0.3818 0.3155 0.4262
0.4820 0.2339 0.2277
0.4820 0.2661 0.7277
0.5180 0.7339 0.2723
0.5180 0.7661 0.7723
0.6182 0.6845 0.5738
0.6182 0.8155 0.0738
0.6287 0.5392 0.9196
0.6287 0.9608 0.4196
0.6997 0.0481 0.9182
0.6997 0.4519 0.4182
0.7424 0.0602 0.2365
0.7424 0.4398 0.7365
0.8144 0.2057 0.6992
0.8144 0.2943 0.1992
0.9508 0.6544 0.9098
0.9508 0.8456 0.4098
```

Most intense lines, 15 to 90 degrees two-theta, by angle:
Position (°2θ)  d_spacing  I/Imax
15.8  5.592  100
22.9  3.889  59
24.3  3.660  50
27.0  3.299  30
27.4  3.255  43
30.1  2.968  30
31.4  2.849  22
32.0  2.800  26
35.2  2.550  35
41.8  2.159  34